No. 1
Starting from the GGA-PBE geometry in Alexandria, the X-ray diffraction stick pattern of USnAu6 was calculated for Cu Kα X-rays.
No peak broadening, texture or thermal motion is included.

Structural model:
Cell: 9.2416 4.6503 8.5028 Å, 90.00 117.06 90.00°
Fractional coordinates of all 16 atoms:
U  0.0000  0.0000  0.0000
U  0.5000  0.5000  0.0000
Sn  0.0000  0.0000  0.5000
Sn  0.5000  0.5000  0.5000
Au  0.0227  0.5000  0.7629
Au  0.2428  0.5000  0.1420
Au  0.2501  0.0000  0.3884
Au  0.2499  0.5000  0.6116
Au  0.2572  0.0000  0.8580
Au  0.4773  0.0000  0.2371
Au  0.5227  0.0000  0.7629
Au  0.7428  0.0000  0.1420
Au  0.7499  0.0000  0.6116
Au  0.7501  0.5000  0.3884
Au  0.7572  0.5000  0.8580
Au  0.9773  0.5000  0.2371

Principal peaks in the range 10° ≤ 2θ ≤ 90°, by angle:
2θ/deg	d/Å	I_rel
35.9	2.500	100
36.1	2.490	97
38.7	2.325	42
42.5	2.126	30
44.0	2.057	27
58.9	1.569	23
60.0	1.541	22
68.3	1.374	17
68.4	1.372	16
73.4	1.290	11

No. 2
Starting from the GGA-PBE geometry in Alexandria, the X-ray diffraction stick pattern of YSnAu6 was calculated for Cu Kα X-rays.
No peak broadening, texture or thermal motion is included.

Structural model:
Cell: 9.4628 4.4837 8.3876 Å, 90.00 116.77 90.00°
Fractional coordinates of all 16 atoms:
Y  0.0000  0.0000  0.0000
Y  0.5000  0.5000  0.0000
Sn  0.0000  0.0000  0.5000
Sn  0.5000  0.5000  0.5000
Au  0.0095  0.5000  0.7548
Au  0.2427  0.5000  0.1298
Au  0.2491  0.0000  0.3815
Au  0.2509  0.5000  0.6185
Au  0.2573  0.0000  0.8702
Au  0.4905  0.0000  0.2452
Au  0.5095  0.0000  0.7548
Au  0.7427  0.0000  0.1298
Au  0.7491  0.5000  0.3815
Au  0.7509  0.0000  0.6185
Au  0.7573  0.5000  0.8702
Au  0.9905  0.5000  0.2452

Principal peaks in the range 10° ≤ 2θ ≤ 90°, by angle:
2θ/deg	d/Å	I_rel
36.1	2.487	100
36.3	2.473	100
40.2	2.242	38
42.8	2.112	31
43.1	2.097	31
60.2	1.537	23
60.5	1.531	23
70.4	1.337	15
70.6	1.335	15
74.3	1.276	24

No. 3
Starting from the GGA-PBE geometry in Alexandria, the X-ray diffraction stick pattern of YSnAu was calculated for Cu Kα X-rays.
No peak broadening, texture or thermal motion is included.

Structural model:
Cell: 4.3618 6.1025 11.0838 Å, 90.00 90.00 90.00°
Fractional coordinates of all 12 atoms:
Y  0.0000  0.0000  0.1944
Y  0.0000  0.0000  0.8056
Y  0.5000  0.5000  0.3056
Y  0.5000  0.5000  0.6944
Sn  0.0000  0.2563  0.5000
Sn  0.0000  0.7437  0.5000
Sn  0.5000  0.2437  0.0000
Sn  0.5000  0.7563  0.0000
Au  0.0000  0.5000  0.1339
Au  0.0000  0.5000  0.8661
Au  0.5000  0.0000  0.3661
Au  0.5000  0.0000  0.6339

Principal peaks in the range 10° ≤ 2θ ≤ 90°, by angle:
2θ/deg	d/Å	I_rel
16.6	5.346	32
25.1	3.549	17
31.7	2.819	100
33.5	2.673	30
36.9	2.439	83
41.4	2.182	63
44.1	2.051	28
60.3	1.534	19
62.1	1.494	21
70.1	1.342	21

No. 4
Starting from the GGA-PBE geometry in Alexandria, the X-ray diffraction stick pattern of Y3Sn4Au3 was calculated for Cu Kα X-rays.
No peak broadening, texture or thermal motion is included.

Structural model:
Cell: 8.6287 8.6287 8.6287 Å, 109.47 109.47 109.47°
Fractional coordinates of all 20 atoms:
Y  0.1250  0.7500  0.8750
Y  0.2500  0.6250  0.3750
Y  0.3750  0.2500  0.6250
Y  0.6250  0.3750  0.2500
Y  0.7500  0.8750  0.1250
Y  0.8750  0.1250  0.7500
Sn  0.0000  0.3255  0.5000
Sn  0.0000  0.8255  0.5000
Sn  0.1745  0.1745  0.1745
Sn  0.3255  0.5000  0.0000
Sn  0.5000  0.0000  0.3255
Sn  0.5000  0.0000  0.8255
Sn  0.6745  0.6745  0.6745
Sn  0.8255  0.5000  0.0000
Au  0.1250  0.8750  0.2500
Au  0.2500  0.1250  0.8750
Au  0.3750  0.6250  0.7500
Au  0.6250  0.7500  0.3750
Au  0.7500  0.3750  0.6250
Au  0.8750  0.2500  0.1250

Principal peaks in the range 10° ≤ 2θ ≤ 90°, by angle:
2θ/deg	d/Å	I_rel
21.9	4.068	42
33.7	2.663	100
40.5	2.228	42
44.6	2.034	14
46.5	1.954	28
50.1	1.819	14
58.6	1.575	11
63.3	1.469	10
64.8	1.438	10
69.3	1.356	15

No. 5
Starting from the GGA-PBE geometry in Alexandria, the X-ray diffraction stick pattern of YSn3Au6 was calculated for Cu Kα X-rays.
No peak broadening, texture or thermal motion is included.

Structural model:
Cell: 7.5008 7.5008 7.5008 Å, 115.02 115.02 115.02°
Fractional coordinates of all 10 atoms:
Y  0.0000  0.0000  0.0000
Sn  0.3323  0.3323  0.9314
Sn  0.3323  0.9314  0.3323
Sn  0.9314  0.3323  0.3323
Au  0.2964  0.8746  0.8746
Au  0.4392  0.4392  0.6693
Au  0.4392  0.6693  0.4392
Au  0.6693  0.4392  0.4392
Au  0.8746  0.2964  0.8746
Au  0.8746  0.8746  0.2964

Principal peaks in the range 10° ≤ 2θ ≤ 90°, by angle:
2θ/deg	d/Å	I_rel
24.4	3.653	75
28.2	3.163	37
34.4	2.611	56
36.2	2.483	41
37.3	2.413	28
39.0	2.311	49
40.0	2.255	100
45.0	2.014	42
62.0	1.497	26
67.6	1.385	38

No. 6
Starting from the GGA-PBE geometry in Alexandria, the X-ray diffraction stick pattern of Zn2SnAu2 was calculated for Cu Kα X-rays.
No peak broadening, texture or thermal motion is included.

Structural model:
Cell: 4.0342 4.0342 12.1203 Å, 90.00 90.00 90.00°
Fractional coordinates of all 10 atoms:
Zn  0.0000  0.0000  0.1015
Zn  0.0000  0.0000  0.8985
Zn  0.5000  0.5000  0.3985
Zn  0.5000  0.5000  0.6015
Sn  0.0000  0.0000  0.5000
Sn  0.5000  0.5000  0.0000
Au  0.0000  0.5000  0.2500
Au  0.0000  0.5000  0.7500
Au  0.5000  0.0000  0.2500
Au  0.5000  0.0000  0.7500

Principal peaks in the range 10° ≤ 2θ ≤ 90°, by angle:
2θ/deg	d/Å	I_rel
14.6	6.060	33
29.5	3.030	19
31.3	2.854	16
34.8	2.581	100
43.6	2.077	38
44.9	2.018	40
54.7	1.679	15
55.8	1.648	19
65.4	1.427	19
76.3	1.248	23

Q: Number 4 is which compound?
A: Y3Sn4Au3